# Sb8Cl2O15
Simulated X-ray diffraction stick pattern, a wavelength of 1.5418 Å. Input: a cell relaxed with GGA-PBE.
Lines closer than 0.1° are merged.

Largest 12 diffraction maxima, low angle first, 2θ from 10° to 90°:
- (0 2 0), 12.0 deg, I 100
- (1 1 0), 12.0 deg, I 26
- (2 0 0), 20.9 deg, I 69
- (1 1 -2), 22.4 deg, I 39
- (2 2 0), 24.2 deg, I 49
- (1 3 -2), 28.2 deg, I 93
- (3 1 -2), 30.9 deg, I 25
- (1 3 2), 35.3 deg, I 22
- (3 3 -2), 35.5 deg, I 20
- (0 6 0), 36.5 deg, I 27
- (2 6 0), 42.4 deg, I 19
- (2 0 -4), 43.8 deg, I 22

Cell and atoms:
a b c (Å): 9.406 14.775 8.260
angles (deg): 90.00 115.62 90.00
Space group C2 (No. 5)
One atom of each set of equivalent atoms:
Sb1 0.171 0.000 0.317 (multiplicity 4)
Sb2 0.211 0.692 0.380 (multiplicity 4)
Sb3 0.220 0.698 0.844 (multiplicity 4)
Sb4 0.221 0.538 0.112 (multiplicity 4)
Cl1 0.000 0.849 0.500 (multiplicity 2)
Cl2 0.000 0.869 0.000 (multiplicity 2)
O1 0.000 0.319 0.500 (multiplicity 2)
O2 0.000 0.403 0.500 (multiplicity 2)
O3 0.000 0.481 0.000 (multiplicity 2)
O4 0.007 0.659 0.697 (multiplicity 4)
O5 0.049 0.035 0.766 (multiplicity 4)
O6 0.191 0.668 0.092 (multiplicity 4)
O7 0.216 0.139 0.356 (multiplicity 4)
O8 0.236 0.552 0.359 (multiplicity 4)
O9 0.246 0.055 0.113 (multiplicity 4)

=====

# LuAl3Ni2
Simulated X-ray diffraction stick pattern, a wavelength of 1.5418 Å. Input: a cell relaxed with GGA-PBE.
Lines closer than 0.1° are merged.

Largest 12 diffraction maxima, low angle first, 2θ from 10° to 90°:
- (1 1 0), 19.9 deg, I 45
- (1 0 1), 24.9 deg, I 62
- (1 1 1), 29.9 deg, I 23
- (2 0 1), 32.1 deg, I 25
- (3 0 0), 34.8 deg, I 32
- (2 1 1), 38.0 deg, I 100
- (2 2 0), 40.3 deg, I 68
- (3 0 1), 41.6 deg, I 37
- (0 0 2), 45.1 deg, I 28
- (3 1 1), 48.0 deg, I 16
- (2 2 2), 62.1 deg, I 37
- (5 0 1), 64.5 deg, I 19

Cell and atoms:
a b c (Å): 8.9416 8.9416 4.0243
angles (deg): 90.00 90.00 120.00
Space group P6/mmm (No. 191)
One atom of each set of equivalent atoms:
Lu1 0.0000 0.0000 0.0000 (multiplicity 1)
Lu2 0.3333 0.6667 0.5000 (multiplicity 2)
Al1 0.0000 0.2971 0.5000 (multiplicity 6)
Al2 0.0000 0.5000 0.0000 (multiplicity 3)
Ni1 0.1829 0.3657 0.0000 (multiplicity 6)

=====

# HoSbPt
Simulated X-ray diffraction stick pattern, a wavelength of 1.5418 Å. Input: a cell relaxed with GGA-PBE.
Lines closer than 0.1° are merged.

Largest 12 diffraction maxima, low angle first, 2θ from 10° to 90°:
- (1 1 1), 23.4 deg, I 41
- (2 0 0), 27.0 deg, I 5
- (2 2 0), 38.6 deg, I 100
- (3 1 1), 45.6 deg, I 21
- (2 2 2), 47.8 deg, I 1
- (4 0 0), 55.7 deg, I 17
- (3 3 1), 61.3 deg, I 9
- (4 2 0), 63.0 deg, I 2
- (4 2 2), 69.9 deg, I 35
- (5 1 1), 74.8 deg, I 7
- (4 4 0), 82.8 deg, I 11
- (5 3 1), 87.5 deg, I 7

Cell and atoms:
a b c (Å): 6.596 6.596 6.596
angles (deg): 90.00 90.00 90.00
Space group F-43m (No. 216)
One atom of each set of equivalent atoms:
Ho1 0.000 0.000 0.000 (multiplicity 4)
Sb1 0.000 0.000 0.500 (multiplicity 4)
Pt1 0.250 0.250 0.250 (multiplicity 4)

=====

# CsNdTe4
Simulated X-ray diffraction stick pattern, a wavelength of 1.5418 Å. Input: a cell relaxed with GGA-PBE.
Lines closer than 0.1° are merged.

Largest 12 diffraction maxima, low angle first, 2θ from 10° to 90°:
- (1 0 0), 10.9 deg, I 23
- (1 1 0), 15.5 deg, I 100
- (2 0 0), 22.0 deg, I 25
- (2 1 0), 24.6 deg, I 22
- (2 1 2), 28.6 deg, I 25
- (0 0 4), 28.9 deg, I 18
- (1 1 4), 32.9 deg, I 31
- (3 0 0), 33.2 deg, I 16
- (2 2 2), 34.5 deg, I 44
- (0 0 5), 36.3 deg, I 27
- (3 1 2), 38.0 deg, I 32
- (3 3 2), 50.0 deg, I 29

Cell and atoms:
a b c (Å): 8.098 8.098 12.353
angles (deg): 90.00 90.00 90.00
Space group P4/mmm (No. 123)
One atom of each set of equivalent atoms:
Cs1 0.000 0.500 0.000 (multiplicity 2)
Nd1 0.000 0.500 0.500 (multiplicity 2)
Te1 0.000 0.314 0.285 (multiplicity 8)

=====

# CeYMg4
Simulated X-ray diffraction stick pattern, a wavelength of 1.5418 Å. Input: a cell relaxed with GGA-PBE.
Lines closer than 0.1° are merged.

Largest 12 diffraction maxima, low angle first, 2θ from 10° to 90°:
- (1 1 1), 18.0 deg, I 49
- (2 2 0), 29.6 deg, I 87
- (3 1 1), 34.9 deg, I 100
- (3 3 1), 46.4 deg, I 13
- (4 2 2), 52.6 deg, I 34
- (5 1 1), 56.0 deg, I 33
- (4 4 0), 61.5 deg, I 22
- (5 3 1), 64.7 deg, I 10
- (6 2 0), 69.7 deg, I 14
- (5 3 3), 72.7 deg, I 11
- (6 4 2), 85.1 deg, I 17
- (7 3 1), 88.0 deg, I 21

Cell and atoms:
a b c (Å): 8.527 8.527 8.527
angles (deg): 90.00 90.00 90.00
Space group F-43m (No. 216)
One atom of each set of equivalent atoms:
Ce1 0.000 0.000 0.000 (multiplicity 4)
Y1 0.250 0.250 0.250 (multiplicity 4)
Mg1 0.125 0.125 0.625 (multiplicity 16)

=====

# Pm2ZnRu
Simulated X-ray diffraction stick pattern, a wavelength of 1.5418 Å. Input: a cell relaxed with GGA-PBE.
Lines closer than 0.1° are merged.

Largest 11 diffraction maxima, low angle first, 2θ from 10° to 90°:
- (1 1 1), 21.5 deg, I 1
- (2 0 0), 24.9 deg, I 8
- (2 2 0), 35.5 deg, I 100
- (3 1 1), 41.9 deg, I 1
- (2 2 2), 43.9 deg, I 2
- (4 0 0), 51.1 deg, I 18
- (4 2 0), 57.7 deg, I 3
- (4 2 2), 63.8 deg, I 36
- (4 4 0), 75.2 deg, I 11
- (6 0 0), 80.7 deg, I 2
- (6 2 0), 86.1 deg, I 16

Cell and atoms:
a b c (Å): 7.145 7.145 7.145
angles (deg): 90.00 90.00 90.00
Space group Fm-3m (No. 225)
One atom of each set of equivalent atoms:
Pm1 0.250 0.250 0.250 (multiplicity 8)
Zn1 0.000 0.000 0.000 (multiplicity 4)
Ru1 0.000 0.000 0.500 (multiplicity 4)

=====

# MgZn2Co4S8
Simulated X-ray diffraction stick pattern, a wavelength of 1.5418 Å. Input: a cell relaxed with GGA-PBE.
Lines closer than 0.1° are merged.

Largest 12 diffraction maxima, low angle first, 2θ from 10° to 90°:
- (1 0 4), 25.1 deg, I 22
- (1 1 0), 26.2 deg, I 49
- (0 1 5), 29.3 deg, I 18
- (1 1 3), 30.3 deg, I 94
- (0 2 1), 30.7 deg, I 52
- (0 2 4), 36.6 deg, I 100
- (1 1 6), 40.3 deg, I 21
- (0 2 7), 47.2 deg, I 45
- (1 2 5), 48.2 deg, I 23
- (0 3 3), 48.8 deg, I 28
- (2 0 8), 51.5 deg, I 68
- (2 2 0), 53.8 deg, I 84

Cell and atoms:
a b c (Å): 6.8139 6.8139 17.7808
angles (deg): 90.00 90.00 120.00
Space group R-3m (No. 166, hexagonal axes)
One atom of each set of equivalent atoms:
Mg1 0.0000 0.0000 0.0000 (multiplicity 3)
Zn1 0.0000 0.0000 0.1464 (multiplicity 6)
Co1 0.0000 0.0000 0.5000 (multiplicity 3)
Co2 0.0000 0.5000 0.0000 (multiplicity 9)
S1 0.0000 0.0000 0.2737 (multiplicity 6)
S2 0.0344 0.5172 0.2544 (multiplicity 18)

=====

# Pr6InFe13
Simulated X-ray diffraction stick pattern, a wavelength of 1.5418 Å. Input: a cell relaxed with GGA-PBE.
Lines closer than 0.1° are merged.

Largest 12 diffraction maxima, low angle first, 2θ from 10° to 90°:
- (2 1 3), 27.0 deg, I 90
- (2 1 5), 31.0 deg, I 85
- (2 2 0), 31.2 deg, I 34
- (2 0 6), 31.5 deg, I 44
- (1 1 8), 34.0 deg, I 39
- (3 1 0), 35.0 deg, I 100
- (2 0 8), 37.5 deg, I 68
- (3 1 4), 38.2 deg, I 29
- (2 1 9), 42.3 deg, I 57
- (4 1 1), 46.3 deg, I 45
- (3 3 8), 57.3 deg, I 35
- (3 1 14), 65.9 deg, I 30

Cell and atoms:
a b c (Å): 8.116 8.116 23.789
angles (deg): 90.00 90.00 90.00
Space group I4/mcm (No. 140)
One atom of each set of equivalent atoms:
Pr1 0.000 0.000 0.104 (multiplicity 8)
Pr2 0.163 0.337 0.184 (multiplicity 16)
In1 0.000 0.000 0.250 (multiplicity 4)
Fe1 0.000 0.500 0.000 (multiplicity 4)
Fe2 0.067 0.211 0.500 (multiplicity 16)
Fe3 0.112 0.388 0.408 (multiplicity 16)
Fe4 0.179 0.321 0.058 (multiplicity 16)